No. 1
Computed XRD peak list of LiCrIr for CuKα, from a cell relaxed with PBE.

Structural model:
```
data_LiCrIr
_cell_length_a 7.081
_cell_length_b 6.869
_cell_length_c 2.611
_cell_angle_alpha 83.83
_cell_angle_beta 74.67
_cell_angle_gamma 21.51
_symmetry_space_group_name_H-M 'P 1'
_symmetry_Int_Tables_number 1
loop_
_symmetry_equiv_pos_as_xyz
'x,y,z'
loop_
_atom_site_label
_atom_site_type_symbol
_atom_site_fract_x
_atom_site_fract_y
_atom_site_fract_z
Li1 Li 0.000 0.000 0.000
Cr1 Cr 0.676 0.676 0.324
Ir1 Ir 0.331 0.331 0.669
```

Top 10 peaks for 2θ from 15° to 90°, low angle first:
2θ/deg, intensity
26.50, 34
38.87, 59
40.22, 30
40.81, 30
43.06, 25
43.45, 100
51.62, 34
58.63, 20
75.33, 18
76.13, 19

***

No. 2
Computed XRD peak list of Mg2CrIr for CuKα, from a cell relaxed with PBE.

Structural model:
```
data_Mg2CrIr
_cell_length_a 4.020
_cell_length_b 4.020
_cell_length_c 4.049
_cell_angle_alpha 90.00
_cell_angle_beta 90.00
_cell_angle_gamma 90.00
_symmetry_space_group_name_H-M 'P 1'
_symmetry_Int_Tables_number 1
loop_
_symmetry_equiv_pos_as_xyz
'x,y,z'
loop_
_atom_site_label
_atom_site_type_symbol
_atom_site_fract_x
_atom_site_fract_y
_atom_site_fract_z
Mg1 Mg 0.000 0.500 0.000
Mg2 Mg 0.500 0.000 0.000
Cr1 Cr 0.000 0.000 0.500
Ir1 Ir 0.500 0.500 0.500
```

Top 10 peaks for 2θ from 15° to 90°, low angle first:
2θ/deg, intensity
21.95, 45
22.11, 43
31.36, 37
31.47, 37
38.70, 100
44.77, 16
45.11, 32
50.73, 30
65.43, 21
78.93, 24

***

No. 3
Computed XRD peak list of Mg2CrIr for CuKα, from a cell relaxed with PBE.

Structural model:
```
data_Mg2CrIr
_cell_length_a 5.349
_cell_length_b 5.349
_cell_length_c 4.742
_cell_angle_alpha 113.41
_cell_angle_beta 113.41
_cell_angle_gamma 32.63
_symmetry_space_group_name_H-M 'P 1'
_symmetry_Int_Tables_number 1
loop_
_symmetry_equiv_pos_as_xyz
'x,y,z'
loop_
_atom_site_label
_atom_site_type_symbol
_atom_site_fract_x
_atom_site_fract_y
_atom_site_fract_z
Mg1 Mg 0.000 0.000 0.000
Mg2 Mg 0.220 0.220 0.640
Cr1 Cr 0.768 0.768 0.182
Ir1 Ir 0.476 0.476 0.496
```

Top 10 peaks for 2θ from 15° to 90°, low angle first:
2θ/deg, intensity
18.99, 69
20.58, 75
21.48, 100
31.26, 47
35.35, 50
38.00, 39
38.53, 43
39.95, 90
40.94, 71
41.78, 58

***

No. 4
Computed XRD peak list of MnCr3Ir12 for CuKα, from a cell relaxed with PBE.

Structural model:
```
data_MnCr3Ir12
_cell_length_a 3.822
_cell_length_b 3.822
_cell_length_c 15.326
_cell_angle_alpha 90.00
_cell_angle_beta 90.00
_cell_angle_gamma 90.00
_symmetry_space_group_name_H-M 'P 1'
_symmetry_Int_Tables_number 1
loop_
_symmetry_equiv_pos_as_xyz
'x,y,z'
loop_
_atom_site_label
_atom_site_type_symbol
_atom_site_fract_x
_atom_site_fract_y
_atom_site_fract_z
Mn1 Mn 0.000 0.000 0.000
Cr1 Cr 0.000 0.000 0.248
Cr2 Cr 0.000 0.000 0.500
Cr3 Cr 0.000 0.000 0.752
Ir1 Ir 0.000 0.500 0.127
Ir2 Ir 0.000 0.500 0.376
Ir3 Ir 0.000 0.500 0.624
Ir4 Ir 0.000 0.500 0.873
Ir5 Ir 0.500 0.000 0.127
Ir6 Ir 0.500 0.000 0.376
Ir7 Ir 0.500 0.000 0.624
Ir8 Ir 0.500 0.000 0.873
Ir9 Ir 0.500 0.500 0.000
Ir10 Ir 0.500 0.500 0.251
Ir11 Ir 0.500 0.500 0.500
Ir12 Ir 0.500 0.500 0.749
```

Top 10 peaks for 2θ from 15° to 90°, low angle first:
2θ/deg, intensity
23.26, 15
33.12, 12
40.86, 100
47.46, 16
47.59, 32
69.48, 21
69.58, 10
83.77, 13
83.96, 25
88.57, 11

***

No. 5
Computed XRD peak list of MnCr5Ir6 for CuKα, from a cell relaxed with PBE.

Structural model:
```
data_MnCr5Ir6
_cell_length_a 7.057
_cell_length_b 7.057
_cell_length_c 7.057
_cell_angle_alpha 148.84
_cell_angle_beta 116.76
_cell_angle_gamma 72.18
_symmetry_space_group_name_H-M 'P 1'
_symmetry_Int_Tables_number 1
loop_
_symmetry_equiv_pos_as_xyz
'x,y,z'
loop_
_atom_site_label
_atom_site_type_symbol
_atom_site_fract_x
_atom_site_fract_y
_atom_site_fract_z
Mn1 Mn 0.000 0.000 0.000
Cr1 Cr 0.169 0.669 0.500
Cr2 Cr 0.335 0.335 0.000
Cr3 Cr 0.500 0.000 0.500
Cr4 Cr 0.665 0.665 0.000
Cr5 Cr 0.831 0.331 0.500
Ir1 Ir 0.084 0.833 0.251
Ir2 Ir 0.253 0.500 0.753
Ir3 Ir 0.417 0.167 0.251
Ir4 Ir 0.583 0.833 0.749
Ir5 Ir 0.747 0.500 0.247
Ir6 Ir 0.916 0.167 0.749
```

Top 10 peaks for 2θ from 15° to 90°, low angle first:
2θ/deg, intensity
24.05, 31
33.38, 28
41.56, 100
47.85, 17
48.00, 16
49.26, 15
60.81, 11
84.82, 13
85.03, 13
86.93, 12

***

No. 6
Computed XRD peak list of MnCrIrS for CuKα, from a cell relaxed with PBE.

Structural model:
```
data_MnCrIrS
_cell_length_a 4.534
_cell_length_b 4.534
_cell_length_c 4.462
_cell_angle_alpha 91.72
_cell_angle_beta 91.72
_cell_angle_gamma 36.81
_symmetry_space_group_name_H-M 'P 1'
_symmetry_Int_Tables_number 1
loop_
_symmetry_equiv_pos_as_xyz
'x,y,z'
loop_
_atom_site_label
_atom_site_type_symbol
_atom_site_fract_x
_atom_site_fract_y
_atom_site_fract_z
Mn1 Mn 0.000 0.000 0.000
Cr1 Cr 0.719 0.719 0.307
Ir1 Ir 0.443 0.443 0.483
S1 S 0.681 0.681 0.813
```

Top 10 peaks for 2θ from 15° to 90°, low angle first:
2θ/deg, intensity
19.91, 82
20.66, 81
28.37, 49
32.98, 51
38.64, 75
39.00, 100
42.03, 48
44.74, 50
45.21, 44
48.97, 53

***

No. 7
Computed XRD peak list of Cr6NiIr5 for CuKα, from a cell relaxed with PBE.

Structural model:
```
data_Cr6NiIr5
_cell_length_a 7.029
_cell_length_b 7.029
_cell_length_c 7.029
_cell_angle_alpha 149.12
_cell_angle_beta 116.76
_cell_angle_gamma 72.03
_symmetry_space_group_name_H-M 'P 1'
_symmetry_Int_Tables_number 1
loop_
_symmetry_equiv_pos_as_xyz
'x,y,z'
loop_
_atom_site_label
_atom_site_type_symbol
_atom_site_fract_x
_atom_site_fract_y
_atom_site_fract_z
Cr1 Cr 0.085 0.336 0.748
Cr2 Cr 0.248 0.000 0.248
Cr3 Cr 0.412 0.664 0.748
Cr4 Cr 0.588 0.336 0.252
Cr5 Cr 0.752 0.000 0.752
Cr6 Cr 0.915 0.664 0.252
Ni1 Ni 0.000 0.500 0.500
Ir1 Ir 0.160 0.160 0.000
Ir2 Ir 0.330 0.830 0.500
Ir3 Ir 0.500 0.500 0.000
Ir4 Ir 0.670 0.170 0.500
Ir5 Ir 0.840 0.840 0.000
```

Top 10 peaks for 2θ from 15° to 90°, low angle first:
2θ/deg, intensity
24.15, 27
33.65, 24
41.85, 100
48.01, 16
48.66, 16
49.47, 15
70.76, 10
85.24, 12
86.22, 12
87.44, 12

***

No. 8
Computed XRD peak list of Cr2Ni9Ir for CuKα, from a cell relaxed with PBE.

Structural model:
```
data_Cr2Ni9Ir
_cell_length_a 4.374
_cell_length_b 5.601
_cell_length_c 6.169
_cell_angle_alpha 111.31
_cell_angle_beta 90.42
_cell_angle_gamma 105.21
_symmetry_space_group_name_H-M 'P 1'
_symmetry_Int_Tables_number 1
loop_
_symmetry_equiv_pos_as_xyz
'x,y,z'
loop_
_atom_site_label
_atom_site_type_symbol
_atom_site_fract_x
_atom_site_fract_y
_atom_site_fract_z
Cr1 Cr 0.082 0.240 0.074
Cr2 Cr 0.918 0.760 0.926
Ni1 Ni 0.168 0.004 0.670
Ni2 Ni 0.244 0.749 0.243
Ni3 Ni 0.336 0.503 0.839
Ni4 Ni 0.413 0.247 0.412
Ni5 Ni 0.500 0.000 0.000
Ni6 Ni 0.587 0.753 0.588
Ni7 Ni 0.664 0.497 0.161
Ni8 Ni 0.756 0.251 0.757
Ni9 Ni 0.832 0.996 0.330
Ir1 Ir 0.000 0.500 0.500
```

Top 10 peaks for 2θ from 15° to 90°, low angle first:
2θ/deg, intensity
15.52, 9
27.80, 6
44.04, 100
44.29, 34
51.02, 21
51.57, 41
75.31, 12
75.65, 12
75.73, 6
76.12, 6